(1)
Structure and computed powder diffractogram of Ni8PdS8 (a structure optimized by DFT (GGA-PBE); CuKα).
Peak positions follow from Bragg's law for the DFT cell and can differ from measured ones.

Largest 6 diffraction maxima, low angle first, 2θ from 10° to 90°:
- 2θ = 29.13°, I = 100
- 2θ = 46.40°, I = 33
- 2θ = 50.79°, I = 89
- 2θ = 59.62°, I = 12
- 2θ = 71.23°, I = 22
- 2θ = 74.67°, I = 13

Atomic structure:
a = 7.1903 Å, b = 7.1903 Å, c = 7.1903 Å
α = 60.00°, β = 60.00°, γ = 60.00°
Fractional positions:
Ni1 0.1279 0.1279 0.1279
Ni2 0.1279 0.1279 0.6163
Ni3 0.1279 0.6163 0.1279
Ni4 0.3837 0.8721 0.8721
Ni5 0.6163 0.1279 0.1279
Ni6 0.8721 0.3837 0.8721
Ni7 0.8721 0.8721 0.3837
Ni8 0.8721 0.8721 0.8721
Pd1 0.5000 0.5000 0.5000
S1 0.2500 0.2500 0.2500
S2 0.2506 0.2506 0.7494
S3 0.2506 0.7494 0.2506
S4 0.2506 0.7494 0.7494
S5 0.7494 0.2506 0.2506
S6 0.7494 0.2506 0.7494
S7 0.7494 0.7494 0.2506
S8 0.7500 0.7500 0.7500

=====

(2)
Structure and computed powder diffractogram of Ni2Pd3S4 (a structure optimized by DFT (GGA-PBE); CuKα).
Peak positions follow from Bragg's law for the DFT cell and can differ from measured ones.

Largest 6 diffraction maxima, low angle first, 2θ from 10° to 90°:
- 2θ = 16.65°, I = 57
- 2θ = 23.44°, I = 100
- 2θ = 35.53°, I = 68
- 2θ = 45.24°, I = 55
- 2θ = 47.94°, I = 71
- 2θ = 48.48°, I = 76

Atomic structure:
a = 5.9538 Å, b = 5.9538 Å, c = 5.4445 Å
α = 92.76°, β = 92.76°, γ = 126.80°
Fractional positions:
Ni1 0.2138 0.7862 0.0000
Ni2 0.7862 0.2138 0.0000
Pd1 0.0000 0.0000 0.5000
Pd2 0.5000 0.5000 0.0000
Pd3 0.5000 0.5000 0.5000
S1 0.1173 0.4212 0.7415
S2 0.4212 0.1173 0.7415
S3 0.5788 0.8827 0.2585
S4 0.8827 0.5788 0.2585